Record 1
Diffraction record for Tb6CoCl10. The powder diffractogram is theoretical, not measured: it uses a cell relaxed with PBE and a wavelength of 1.5418 Å.

Crystal structure
a b c (Å): 7.0796 8.7025 8.8160
angles (deg): 109.95 97.11 106.86
Space group P-1 (No. 2)
Inequivalent atoms, fractional coordinates:
Tb: 0.0240 0.1981 0.3997 x2
Tb: 0.1340 0.5508 0.2523 x2
Tb: 0.3733 0.6483 0.6944 x2
Co: 0.0000 0.5000 0.5000 x1
Cl: 0.0909 0.8717 0.3349 x2
Cl: 0.1992 0.2373 0.1441 x2
Cl: 0.2507 0.5828 0.9577 x2
Cl: 0.3646 0.9683 0.7818 x2
Cl: 0.4470 0.3245 0.5770 x2

Main lines, low angle first (2θ from 15° to 90°):
2θ/deg  d/Å  I (rel.)
22.16  4.012  18
31.91  2.805  100
32.87  2.725  45
44.38  2.041  17
45.19  2.006  17
46.30  1.961  17

=====

Record 2
Diffraction record for TlCoCl3. The powder diffractogram is theoretical, not measured: it uses a cell relaxed with PBE and a wavelength of 1.5418 Å.

Crystal structure
a b c (Å): 5.8685 13.7619 11.9725
angles (deg): 90.00 90.00 90.00
Space group Pbca (No. 61)
Inequivalent atoms, fractional coordinates:
Tl: 0.2490 0.1233 0.0815 x8
Co: 0.0428 0.6256 0.7503 x8
Cl: 0.2041 0.2458 0.8300 x8
Cl: 0.2057 0.0038 0.8294 x8
Cl: 0.2062 0.1255 0.5892 x8

Main lines, low angle first (2θ from 15° to 90°):
2θ/deg  d/Å  I (rel.)
21.23  4.186  94
25.81  3.452  49
25.90  3.440  24
33.67  2.662  100
34.04  2.634  26
43.23  2.093  28